(1)
The following is a computed powder diffraction line list of BaSrFe4O8. It was derived from a GGA+U-relaxed structure, using CuKα.
Lines closer than 0.1° are merged.

Crystal structure
a = 5.995 Å, b = 5.995 Å, c = 10.038 Å
α = 90.00°, β = 90.00°, γ = 120.00°
Fractional coordinates of all 14 atoms:
Ba 0.000 0.000 0.000
Sr 0.000 0.000 0.500
Fe 0.333 0.667 0.188
Fe 0.333 0.667 0.812
Fe 0.667 0.333 0.312
Fe 0.667 0.333 0.688
O 0.000 0.500 0.249
O 0.000 0.500 0.751
O 0.333 0.667 0.000
O 0.500 0.000 0.249
O 0.500 0.000 0.751
O 0.500 0.500 0.249
O 0.500 0.500 0.751
O 0.667 0.333 0.500

Largest 10 diffraction maxima, low angle first, 10 to 80 degrees two-theta:
| d (Å) | I/Imax |
| --- | --- |
| 4.612 | 25 |
| 3.609 | 100 |
| 2.998 | 62 |
| 2.812 | 14 |
| 2.511 | 12 |
| 1.925 | 12 |
| 1.828 | 28 |
| 1.804 | 11 |
| 1.731 | 12 |
| 1.461 | 12 |

(2)
The following is a computed powder diffraction line list of V5O7. It was derived from a GGA+U-relaxed structure, using CuKα.
Lines closer than 0.1° are merged.

Crystal structure
a = 5.334 Å, b = 5.334 Å, c = 18.884 Å
α = 90.00°, β = 90.00°, γ = 147.04°
Fractional coordinates of all 24 atoms:
V 0.000 0.000 0.000
V 0.000 0.000 0.500
V 0.264 0.736 0.576
V 0.264 0.736 0.924
V 0.480 0.520 0.158
V 0.480 0.520 0.342
V 0.520 0.480 0.658
V 0.520 0.480 0.842
V 0.736 0.264 0.076
V 0.736 0.264 0.424
O 0.101 0.899 0.103
O 0.101 0.899 0.397
O 0.145 0.855 0.653
O 0.145 0.855 0.847
O 0.353 0.647 0.026
O 0.353 0.647 0.474
O 0.474 0.526 0.750
O 0.526 0.474 0.250
O 0.647 0.353 0.526
O 0.647 0.353 0.974
O 0.855 0.145 0.153
O 0.855 0.145 0.347
O 0.899 0.101 0.603
O 0.899 0.101 0.897

Largest 10 diffraction maxima, low angle first, 10 to 80 degrees two-theta:
| d (Å) | I/Imax |
| --- | --- |
| 4.498 | 44 |
| 2.774 | 37 |
| 2.681 | 100 |
| 2.636 | 23 |
| 2.558 | 27 |
| 2.201 | 63 |
| 2.130 | 49 |
| 2.041 | 43 |
| 1.546 | 25 |
| 1.318 | 23 |

(3)
The following is a computed powder diffraction line list of NaMgNiO2. It was derived from a GGA+U-relaxed structure, using CuKα.
Lines closer than 0.1° are merged.

Crystal structure
a = 8.072 Å, b = 8.072 Å, c = 8.072 Å
α = 22.34°, β = 22.34°, γ = 22.34°
Fractional coordinates of all 5 atoms:
Na 0.000 0.000 0.000
Mg 0.438 0.438 0.438
Ni 0.564 0.564 0.564
O 0.268 0.268 0.268
O 0.739 0.739 0.739

Largest 10 diffraction maxima, low angle first, 10 to 80 degrees two-theta:
| d (Å) | I/Imax |
| --- | --- |
| 7.867 | 70 |
| 3.934 | 65 |
| 2.691 | 52 |
| 2.640 | 45 |
| 2.622 | 27 |
| 2.462 | 44 |
| 2.349 | 31 |
| 2.112 | 100 |
| 1.682 | 22 |
| 1.564 | 45 |

(4)
The following is a computed powder diffraction line list of ThMoO3. It was derived from a GGA+U-relaxed structure, using CuKα.
Lines closer than 0.1° are merged.

Crystal structure
a = 4.109 Å, b = 4.109 Å, c = 4.109 Å
α = 90.00°, β = 90.00°, γ = 90.00°
Fractional coordinates of all 5 atoms:
Th 0.000 0.000 0.000
Mo 0.500 0.500 0.500
O 0.000 0.500 0.500
O 0.500 0.000 0.500
O 0.500 0.500 0.000

Largest 10 diffraction maxima, low angle first, 10 to 80 degrees two-theta:
| d (Å) | I/Imax |
| --- | --- |
| 4.109 | 14 |
| 2.906 | 100 |
| 2.372 | 13 |
| 2.055 | 27 |
| 1.838 | 8 |
| 1.678 | 41 |
| 1.453 | 17 |
| 1.370 | 4 |
| 1.299 | 18 |
| 1.239 | 4 |

(5)
The following is a computed powder diffraction line list of Li2Fe2Si2O9. It was derived from a GGA+U-relaxed structure, using CuKα.
Lines closer than 0.1° are merged.

Crystal structure
a = 14.075 Å, b = 5.057 Å, c = 8.623 Å
α = 90.00°, β = 90.00°, γ = 90.00°
Fractional coordinates of all 60 atoms:
Li 0.156 0.108 0.000
Li 0.156 0.615 0.436
Li 0.344 0.115 0.936
Li 0.344 0.608 0.500
Li 0.656 0.392 0.000
Li 0.656 0.885 0.436
Li 0.844 0.385 0.936
Li 0.844 0.892 0.500
Fe 0.169 0.115 0.619
Fe 0.170 0.617 0.815
Fe 0.330 0.117 0.315
Fe 0.331 0.615 0.119
Fe 0.669 0.385 0.619
Fe 0.670 0.883 0.815
Fe 0.830 0.383 0.315
Fe 0.831 0.885 0.119
Si 0.036 0.072 0.306
Si 0.036 0.571 0.125
Si 0.464 0.071 0.625
Si 0.464 0.572 0.806
Si 0.536 0.428 0.306
Si 0.536 0.929 0.125
Si 0.964 0.429 0.625
Si 0.964 0.928 0.806
O 0.072 0.876 0.163
O 0.073 0.375 0.267
O 0.082 0.437 0.627
O 0.082 0.932 0.805
O 0.084 0.462 0.967
O 0.085 0.962 0.462
O 0.231 0.294 0.795
O 0.231 0.776 0.648
O 0.246 0.779 0.966
O 0.254 0.279 0.466
O 0.269 0.276 0.148
O 0.269 0.794 0.295
O 0.415 0.462 0.962
O 0.416 0.962 0.467
O 0.418 0.432 0.305
O 0.418 0.937 0.127
O 0.427 0.875 0.767
O 0.428 0.376 0.663
O 0.572 0.624 0.163
O 0.573 0.125 0.267
O 0.582 0.063 0.627
O 0.582 0.568 0.805
O 0.584 0.038 0.967
O 0.585 0.538 0.462
O 0.731 0.206 0.795
O 0.731 0.724 0.648
O 0.746 0.721 0.966
O 0.754 0.221 0.466
O 0.769 0.224 0.148
O 0.769 0.706 0.295
O 0.915 0.038 0.962
O 0.916 0.538 0.467
O 0.918 0.068 0.305
O 0.918 0.563 0.127
O 0.927 0.625 0.767
O 0.928 0.124 0.663

Largest 10 diffraction maxima, low angle first, 10 to 80 degrees two-theta:
| d (Å) | I/Imax |
| --- | --- |
| 5.452 | 71 |
| 4.362 | 39 |
| 4.167 | 46 |
| 3.258 | 100 |
| 2.689 | 85 |
| 2.499 | 22 |
| 2.400 | 24 |
| 2.155 | 45 |
| 1.567 | 23 |
| 1.454 | 23 |

(6)
The following is a computed powder diffraction line list of Li4Nb3V5O16. It was derived from a GGA+U-relaxed structure, using CuKα.
Lines closer than 0.1° are merged.

Crystal structure
a = 6.063 Å, b = 6.063 Å, c = 9.855 Å
α = 91.17°, β = 91.17°, γ = 59.91°
Fractional coordinates of all 28 atoms:
Li 0.000 0.000 0.000
Li 0.001 0.001 0.500
Li 0.343 0.343 0.404
Li 0.675 0.675 0.892
Nb 0.179 0.179 0.720
Nb 0.360 0.836 0.219
Nb 0.836 0.360 0.219
V 0.181 0.668 0.719
V 0.348 0.348 0.991
V 0.668 0.181 0.719
V 0.680 0.680 0.499
V 0.836 0.836 0.216
O 0.012 0.012 0.316
O 0.012 0.012 0.818
O 0.050 0.487 0.846
O 0.173 0.173 0.107
O 0.186 0.677 0.105
O 0.336 0.336 0.606
O 0.337 0.851 0.608
O 0.487 0.050 0.846
O 0.491 0.491 0.839
O 0.520 0.972 0.350
O 0.527 0.527 0.355
O 0.673 0.673 0.092
O 0.677 0.186 0.105
O 0.845 0.845 0.608
O 0.851 0.337 0.608
O 0.972 0.520 0.350

Largest 10 diffraction maxima, low angle first, 10 to 80 degrees two-theta:
| d (Å) | I/Imax |
| --- | --- |
| 4.926 | 100 |
| 4.680 | 30 |
| 4.653 | 45 |
| 4.602 | 38 |
| 2.556 | 29 |
| 2.542 | 28 |
| 2.526 | 41 |
| 2.061 | 28 |
| 2.038 | 25 |
| 1.515 | 45 |

(7)
The following is a computed powder diffraction line list of Li2FeCo3O8. It was derived from a GGA+U-relaxed structure, using CuKα.
Lines closer than 0.1° are merged.

Crystal structure
a = 8.084 Å, b = 8.099 Å, c = 8.134 Å
α = 89.93°, β = 89.89°, γ = 89.87°
Fractional coordinates of all 56 atoms:
Li 0.000 0.000 0.000
Li 0.001 0.499 0.501
Li 0.244 0.745 0.748
Li 0.245 0.247 0.252
Li 0.499 0.000 0.500
Li 0.502 0.498 0.000
Li 0.744 0.746 0.251
Li 0.746 0.249 0.750
Fe 0.120 0.622 0.122
Fe 0.373 0.373 0.624
Fe 0.623 0.872 0.875
Fe 0.873 0.124 0.375
Co 0.121 0.370 0.874
Co 0.123 0.121 0.626
Co 0.125 0.875 0.378
Co 0.370 0.124 0.876
Co 0.373 0.876 0.128
Co 0.375 0.625 0.377
Co 0.622 0.124 0.125
Co 0.622 0.373 0.374
Co 0.623 0.624 0.624
Co 0.870 0.372 0.122
Co 0.872 0.620 0.872
Co 0.875 0.871 0.625
O 0.102 0.374 0.109
O 0.108 0.111 0.391
O 0.108 0.885 0.612
O 0.109 0.606 0.881
O 0.139 0.132 0.860
O 0.141 0.359 0.637
O 0.144 0.870 0.142
O 0.145 0.638 0.369
O 0.361 0.136 0.642
O 0.362 0.863 0.363
O 0.363 0.355 0.861
O 0.375 0.644 0.145
O 0.382 0.888 0.891
O 0.384 0.109 0.111
O 0.384 0.389 0.388
O 0.384 0.610 0.608
O 0.605 0.386 0.612
O 0.606 0.109 0.888
O 0.606 0.886 0.112
O 0.607 0.609 0.388
O 0.633 0.639 0.859
O 0.637 0.136 0.360
O 0.637 0.359 0.139
O 0.640 0.863 0.638
O 0.860 0.138 0.137
O 0.860 0.361 0.360
O 0.861 0.638 0.637
O 0.861 0.860 0.859
O 0.873 0.603 0.109
O 0.884 0.106 0.613
O 0.885 0.385 0.887
O 0.886 0.885 0.391

Largest 10 diffraction maxima, low angle first, 10 to 80 degrees two-theta:
| d (Å) | I/Imax |
| --- | --- |
| 4.680 | 100 |
| 2.450 | 15 |
| 2.442 | 23 |
| 2.438 | 8 |
| 2.341 | 10 |
| 2.034 | 18 |
| 2.023 | 35 |
| 1.559 | 9 |
| 1.435 | 15 |
| 1.432 | 10 |

(8)
The following is a computed powder diffraction line list of Li6Cr3FeP6O24. It was derived from a GGA+U-relaxed structure, using CuKα.
Lines closer than 0.1° are merged.

Crystal structure
a = 8.537 Å, b = 8.577 Å, c = 8.577 Å
α = 61.57°, β = 61.54°, γ = 61.56°
Fractional coordinates of all 40 atoms:
Li 0.000 0.000 0.000
Li 0.095 0.505 0.898
Li 0.277 0.855 0.644
Li 0.500 0.697 0.298
Li 0.724 0.356 0.144
Li 0.901 0.103 0.490
Cr 0.106 0.706 0.503
Cr 0.391 0.996 0.787
Cr 0.609 0.212 0.003
Fe 0.897 0.499 0.296
P 0.000 0.306 0.696
P 0.207 0.100 0.185
P 0.301 0.602 0.098
P 0.499 0.391 0.607
P 0.701 0.903 0.397
P 0.792 0.814 0.898
O 0.016 0.262 0.216
O 0.058 0.464 0.665
O 0.139 0.540 0.136
O 0.157 0.111 0.715
O 0.187 0.938 0.378
O 0.219 0.055 0.026
O 0.271 0.657 0.260
O 0.296 0.773 0.916
O 0.337 0.586 0.583
O 0.379 0.141 0.145
O 0.452 0.229 0.635
O 0.492 0.444 0.076
O 0.511 0.921 0.555
O 0.548 0.364 0.769
O 0.620 0.853 0.858
O 0.660 0.419 0.412
O 0.702 0.085 0.226
O 0.735 0.740 0.340
O 0.780 0.973 0.943
O 0.816 0.620 0.058
O 0.844 0.282 0.890
O 0.863 0.869 0.456
O 0.939 0.338 0.537
O 0.983 0.786 0.733

Largest 10 diffraction maxima, low angle first, 10 to 80 degrees two-theta:
| d (Å) | I/Imax |
| --- | --- |
| 6.125 | 22 |
| 4.383 | 31 |
| 4.280 | 64 |
| 3.703 | 100 |
| 3.690 | 21 |
| 3.062 | 37 |
| 2.845 | 16 |
| 2.716 | 29 |
| 2.706 | 13 |
| 2.532 | 19 |

(9)
The following is a computed powder diffraction line list of NaV5O10. It was derived from a GGA+U-relaxed structure, using CuKα.
Lines closer than 0.1° are merged.

Crystal structure
a = 5.613 Å, b = 5.711 Å, c = 7.133 Å
α = 83.34°, β = 68.96°, γ = 64.49°
Fractional coordinates of all 16 atoms:
Na 0.000 0.000 0.000
V 0.087 0.468 0.107
V 0.217 0.479 0.639
V 0.424 0.977 0.263
V 0.642 0.496 0.868
V 0.860 0.979 0.497
O 0.022 0.352 0.897
O 0.034 0.187 0.282
O 0.253 0.769 0.462
O 0.267 0.621 0.848
O 0.439 0.180 0.489
O 0.457 0.296 0.102
O 0.519 0.786 0.055
O 0.762 0.189 0.692
O 0.845 0.663 0.643
O 0.856 0.769 0.258

Largest 10 diffraction maxima, low angle first, 10 to 80 degrees two-theta:
| d (Å) | I/Imax |
| --- | --- |
| 4.165 | 68 |
| 3.984 | 72 |
| 3.345 | 65 |
| 3.165 | 100 |
| 2.533 | 79 |
| 2.518 | 23 |
| 2.001 | 63 |
| 1.887 | 39 |
| 1.879 | 23 |
| 1.695 | 26 |